Entry 1:
Starting from a crystal structure in Alexandria, relaxed with GGA+U, the powder diffractogram of ZnW5O7 was calculated for Cu Kα, 1.54184 Å.
Neutral-atom scattering factors, no anomalous dispersion.

Top 8 peaks for 5 to 70 degrees two-theta, in order of rising 2θ:
2θ/deg, I (rel.)
9.3, 61
28.6, 40
32.0, 46
32.7, 100
34.5, 81
37.2, 39
38.2, 64
67.0, 34

Cell and atoms:
```
26
Lattice="1.6237 -5.5150 0.0000 1.6237 5.5150 0.0000 0.0000 0.0000 18.9241" Properties=species:S:1:pos:R:3 pbc="T T T"
Zn 1.6237 3.8689 14.1931
Zn 1.6237 -3.8689 4.7310
W 0.0000 0.0000 0.0000
W 0.0000 0.0000 9.4620
W 1.6237 2.3447 1.4993
W 1.6237 2.3447 7.9627
W 1.6237 0.4941 12.2598
W 1.6237 0.4941 16.1263
W 1.6237 -0.4941 2.7978
W 1.6237 -0.4941 6.6642
W 1.6237 -2.3447 10.9613
W 1.6237 -2.3447 17.4248
O 1.6237 4.2595 12.1293
O 1.6237 4.2595 16.2568
O 1.6237 3.6912 3.1256
O 1.6237 3.6912 6.3365
O 1.6237 1.8632 10.2469
O 1.6237 1.8632 18.1392
O 1.6237 0.3674 4.7310
O 1.6237 -0.3674 14.1931
O 1.6237 -1.8632 0.7849
O 1.6237 -1.8632 8.6771
O 1.6237 -3.6912 12.5876
O 1.6237 -3.6912 15.7985
O 1.6237 -4.2595 2.6673
O 1.6237 -4.2595 6.7947
```


Entry 2:
Starting from a crystal structure in Alexandria, relaxed with GGA+U, the powder diffractogram of ZrWO5 was calculated for Cu Kα, 1.54184 Å.
Neutral-atom scattering factors, no anomalous dispersion.

Top 8 peaks for 5 to 70 degrees two-theta, in order of rising 2θ:
2θ/deg, I (rel.)
17.3, 30
22.0, 95
26.8, 64
27.1, 100
34.9, 38
35.2, 59
47.5, 29
53.3, 30

Cell and atoms:
```
7
Lattice="-1.8908 3.3315 4.0337 1.8908 -3.3315 4.0337 1.8908 3.3315 -4.0337" Properties=species:S:1:pos:R:3 pbc="T T T"
Zr 0.0000 0.0000 0.0000
W 0.0000 0.0000 4.0337
O 1.8908 0.0000 0.0000
O 0.0000 0.0000 2.2059
O 0.0000 2.1545 0.0000
O 0.0000 4.5085 0.0000
O 0.0000 0.0000 5.8615
```


Entry 3:
Starting from a crystal structure in Alexandria, relaxed with GGA+U, the powder diffractogram of ZrW2O8 was calculated for Cu Kα, 1.54184 Å.
Neutral-atom scattering factors, no anomalous dispersion.

Top 8 peaks for 5 to 70 degrees two-theta, in order of rising 2θ:
2θ/deg, I (rel.)
21.2, 100
23.3, 79
26.9, 17
31.7, 28
34.5, 21
35.9, 33
47.6, 18
50.7, 24

Cell and atoms:
```
44
Lattice="9.3620 0.0000 0.0000 0.0000 9.3620 0.0000 0.0000 0.0000 9.3620" Properties=species:S:1:pos:R:3 pbc="T T T"
Zr 0.0154 0.0154 0.0154
Zr 4.6657 9.3467 4.6964
Zr 4.6964 4.6657 9.3467
Zr 9.3467 4.6964 4.6657
W 0.9269 8.4351 3.7541
W 1.4504 6.1314 7.9116
W 3.2306 3.2306 3.2306
W 3.7541 0.9269 8.4351
W 5.6080 5.6080 5.6080
W 6.1314 7.9116 1.4504
W 7.9116 1.4504 6.1314
W 8.4351 3.7541 0.9269
O 0.1017 4.7827 9.2604
O 0.4958 7.4441 8.8125
O 0.5107 6.6851 4.0493
O 0.5496 5.1768 6.5990
O 0.6317 8.8513 2.0041
O 1.9179 4.1315 4.1852
O 2.0041 0.6317 8.8513
O 2.2193 2.2193 2.2193
O 2.4617 7.1427 6.9004
O 2.6769 8.7303 4.1703
O 2.7631 5.2306 8.8663
O 4.0493 0.5107 6.6851
O 4.1315 4.1852 1.9179
O 4.1703 2.6769 8.7303
O 4.1852 1.9179 4.1315
O 4.5793 4.5793 4.5793
O 4.7827 9.2604 0.1017
O 5.1768 6.5990 0.5496
O 5.1918 7.3579 5.3128
O 5.2306 8.8663 2.7631
O 5.3128 5.1918 7.3579
O 6.5990 0.5496 5.1768
O 6.6851 4.0493 0.5107
O 6.9004 2.4617 7.1427
O 7.1427 6.9004 2.4617
O 7.3579 5.3128 5.1918
O 7.4441 8.8125 0.4958
O 8.7303 4.1703 2.6769
O 8.8125 0.4958 7.4441
O 8.8513 2.0041 0.6317
O 8.8663 2.7631 5.2306
O 9.2604 0.1017 4.7827
```